Entry 1:
This entry pairs a crystal structure of CsTl2AuBr8 with its calculated powder XRD pattern. Radiation: copper Kα. Structure: a cell relaxed with PBE.
Intensities are scaled so that the largest is 100.

```
CsTl2AuBr8
1.0
3.517 2.031 10.836
-3.517 2.031 10.836
0.000 -4.061 10.836
Cs Tl Au Br
1 2 1 8
direct
0.000 0.000 0.000 Cs
0.248 0.248 0.248 Tl
0.752 0.752 0.752 Tl
0.500 0.500 0.500 Au
0.141 0.420 0.764 Br
0.236 0.580 0.859 Br
0.329 0.329 0.329 Br
0.420 0.764 0.141 Br
0.580 0.859 0.236 Br
0.671 0.671 0.671 Br
0.764 0.141 0.420 Br
0.859 0.236 0.580 Br
```

Most intense lines, 10 to 90 degrees two-theta, sorted by position:
| 2θ/deg | I (rel.) |
| --- | --- |
| 18.20 | 100 |
| 25.32 | 69 |
| 26.36 | 35 |
| 31.36 | 36 |
| 42.10 | 56 |
| 44.62 | 45 |

---

Entry 2:
This entry pairs a crystal structure of Cu2AuBr with its calculated powder XRD pattern. Radiation: copper Kα. Structure: a cell relaxed with PBE.
Intensities are scaled so that the largest is 100.

```
Cu2AuBr
1.0
3.258 0.000 0.000
0.000 3.572 0.000
0.000 0.000 6.435
Cu Au Br
2 1 1
direct
0.000 0.000 0.191 Cu
0.000 0.000 0.809 Cu
0.500 0.500 0.000 Au
0.500 0.000 0.500 Br
```

Most intense lines, 10 to 90 degrees two-theta, sorted by position:
| 2θ/deg | I (rel.) |
| --- | --- |
| 13.76 | 80 |
| 28.58 | 59 |
| 37.36 | 36 |
| 39.36 | 70 |
| 39.99 | 100 |
| 49.57 | 40 |

---

Entry 3:
This entry pairs a crystal structure of Cu2Au3Br8 with its calculated powder XRD pattern. Radiation: copper Kα. Structure: a cell relaxed with PBE.
Intensities are scaled so that the largest is 100.

```
Cu2Au3Br8
1.0
7.752 -3.731 0.000
7.752 3.731 0.000
-7.700 0.000 16.241
Cu Au Br
4 6 16
direct
0.043 0.564 0.869 Cu
0.436 0.957 0.631 Cu
0.564 0.043 0.369 Cu
0.957 0.436 0.131 Cu
0.023 0.445 0.628 Au
0.090 0.910 0.750 Au
0.445 0.023 0.128 Au
0.555 0.977 0.872 Au
0.910 0.090 0.250 Au
0.977 0.555 0.372 Au
0.042 0.227 0.387 Br
0.099 0.125 0.654 Br
0.125 0.099 0.154 Br
0.227 0.042 0.887 Br
0.247 0.398 0.125 Br
0.353 0.389 0.381 Br
0.389 0.353 0.881 Br
0.398 0.247 0.625 Br
0.602 0.753 0.375 Br
0.611 0.647 0.119 Br
0.647 0.611 0.619 Br
0.753 0.602 0.875 Br
0.773 0.958 0.113 Br
0.875 0.901 0.846 Br
0.901 0.875 0.346 Br
0.958 0.773 0.613 Br
```

Most intense lines, 10 to 90 degrees two-theta, sorted by position:
| 2θ/deg | I (rel.) |
| --- | --- |
| 12.64 | 61 |
| 13.45 | 90 |
| 18.99 | 54 |
| 20.02 | 76 |
| 21.89 | 100 |
| 35.17 | 70 |

---

Entry 4:
This entry pairs a crystal structure of Cu2AuBr4 with its calculated powder XRD pattern. Radiation: copper Kα. Structure: a cell relaxed with PBE.
Intensities are scaled so that the largest is 100.

```
Cu2AuBr4
1.0
5.653 0.000 0.000
0.000 5.653 0.000
0.000 0.000 6.119
Cu Au Br
2 1 4
direct
0.000 0.500 0.000 Cu
0.500 0.000 0.000 Cu
0.000 0.000 0.500 Au
0.261 0.261 0.771 Br
0.261 0.739 0.229 Br
0.739 0.261 0.229 Br
0.739 0.739 0.771 Br
```

Most intense lines, 10 to 90 degrees two-theta, sorted by position:
| 2θ/deg | I (rel.) |
| --- | --- |
| 15.68 | 23 |
| 21.40 | 30 |
| 26.64 | 100 |
| 43.60 | 51 |
| 45.38 | 23 |
| 53.40 | 28 |

---

Entry 5:
This entry pairs a crystal structure of Cu2AuBr with its calculated powder XRD pattern. Radiation: copper Kα. Structure: a cell relaxed with PBE.
Intensities are scaled so that the largest is 100.

```
Cu2AuBr
1.0
-1.654 1.897 6.276
1.654 -1.897 6.276
1.654 1.897 -6.276
Cu Au Br
2 1 1
direct
0.000 0.000 0.000 Cu
0.629 0.129 0.500 Cu
0.174 0.674 0.500 Au
0.409 0.409 0.000 Br
```

Most intense lines, 10 to 90 degrees two-theta, sorted by position:
| 2θ/deg | I (rel.) |
| --- | --- |
| 14.11 | 48 |
| 24.51 | 35 |
| 28.44 | 32 |
| 34.56 | 36 |
| 38.86 | 100 |
| 43.22 | 34 |

---

Entry 6:
This entry pairs a crystal structure of CuTe2Au2Br2 with its calculated powder XRD pattern. Radiation: copper Kα. Structure: a cell relaxed with PBE.
Intensities are scaled so that the largest is 100.

```
CuTe2Au2Br2
1.0
4.423 0.000 0.000
-0.491 6.743 0.000
-0.863 -2.511 6.910
Cu Te Au Br
1 2 2 2
direct
0.000 0.000 0.000 Cu
0.168 0.412 0.165 Te
0.832 0.588 0.835 Te
0.278 0.530 0.617 Au
0.722 0.470 0.383 Au
0.325 0.946 0.246 Br
0.675 0.054 0.754 Br
```

Most intense lines, 10 to 90 degrees two-theta, sorted by position:
| 2θ/deg | I (rel.) |
| --- | --- |
| 13.97 | 100 |
| 15.41 | 76 |
| 26.64 | 48 |
| 28.16 | 67 |
| 30.51 | 52 |
| 33.69 | 57 |

---

Entry 7:
This entry pairs a crystal structure of AuBr3F12 with its calculated powder XRD pattern. Radiation: copper Kα. Structure: a cell relaxed with PBE.
Intensities are scaled so that the largest is 100.

```
AuBr3F12
1.0
8.208 0.000 0.000
1.674 8.061 0.000
1.213 1.598 9.034
Au Br F
2 6 24
direct
0.000 0.000 0.000 Au
0.500 0.499 0.499 Au
0.062 0.423 0.753 Br
0.263 0.936 0.550 Br
0.415 0.732 0.109 Br
0.586 0.268 0.891 Br
0.736 0.061 0.452 Br
0.939 0.577 0.247 Br
0.031 0.237 0.967 F
0.098 0.579 0.592 F
0.110 0.125 0.518 F
0.146 0.448 0.199 F
0.151 0.885 0.742 F
0.203 0.939 0.114 F
0.277 0.297 0.699 F
0.353 0.621 0.342 F
0.369 0.994 0.361 F
0.413 0.438 0.900 F
0.463 0.823 0.920 F
0.466 0.700 0.594 F
0.535 0.298 0.404 F
0.539 0.179 0.079 F
0.588 0.563 0.099 F
0.627 0.006 0.640 F
0.648 0.377 0.657 F
0.724 0.702 0.302 F
0.798 0.061 0.885 F
0.850 0.108 0.261 F
0.855 0.552 0.799 F
0.886 0.871 0.488 F
0.903 0.419 0.407 F
0.969 0.763 0.033 F
```

Most intense lines, 10 to 90 degrees two-theta, sorted by position:
| 2θ/deg | I (rel.) |
| --- | --- |
| 13.51 | 89 |
| 14.07 | 64 |
| 14.21 | 80 |
| 21.70 | 66 |
| 23.41 | 67 |
| 26.69 | 100 |

---

Entry 8:
This entry pairs a crystal structure of GeAu2Br6 with its calculated powder XRD pattern. Radiation: copper Kα. Structure: a cell relaxed with PBE.
Intensities are scaled so that the largest is 100.

```
GeAu2Br6
1.0
6.369 -10.461 0.000
6.369 10.461 0.000
-0.631 0.000 6.024
Ge Au Br
2 4 12
direct
0.151 0.849 0.750 Ge
0.849 0.151 0.250 Ge
0.377 0.377 0.225 Au
0.377 0.377 0.725 Au
0.623 0.623 0.275 Au
0.623 0.623 0.775 Au
0.022 0.197 0.485 Br
0.113 0.683 0.952 Br
0.197 0.022 0.985 Br
0.274 0.461 0.972 Br
0.317 0.887 0.548 Br
0.461 0.274 0.472 Br
0.539 0.726 0.528 Br
0.683 0.113 0.452 Br
0.726 0.539 0.028 Br
0.803 0.978 0.015 Br
0.887 0.317 0.048 Br
0.978 0.803 0.515 Br
```

Most intense lines, 10 to 90 degrees two-theta, sorted by position:
| 2θ/deg | I (rel.) |
| --- | --- |
| 14.50 | 100 |
| 21.05 | 24 |
| 21.47 | 27 |
| 28.18 | 35 |
| 36.85 | 26 |
| 39.54 | 29 |